Theoretical powder diffraction line list of Tl3BiSb2O8 for λ = 1.5418 Å (Cu Kα), from the GGA-PBE geometry in Alexandria.
Peak positions follow from Bragg's law for the DFT cell and can differ from measured ones.

Main lines, most intense first (2θ = 15–90°):
d 3.146, I = 100, (1 1 0); d 3.221, I = 93, (0 1 2); d 2.250, I = 43, (2 0 2); d 1.830, I = 39, (1 2 2); d 1.816, I = 21, (3 0 0); d 1.686, I = 17, (1 1 4)

Cell and atoms:
a = 6.2918 Å, b = 6.2918 Å, c = 7.9861 Å
α = 90.00°, β = 90.00°, γ = 120.00°
Space group P-3m1 (No. 164)
Symmetry-distinct sites (fractional):
Tl: 0.0000 0.0000 0.0000 [1 per cell]
Tl: 0.3333 0.6667 0.6972 [2 per cell]
Bi: 0.0000 0.0000 0.5000 [1 per cell]
Sb: 0.3333 0.6667 0.2321 [2 per cell]
O: 0.1678 0.3357 0.3155 [6 per cell]
O: 0.3333 0.6667 0.9967 [2 per cell]